This entry pairs a crystal structure of Hf4Tc3Ru with its theoretical powder diffraction line list. Radiation: Cu Kα. Structure: the PBE geometry in Alexandria.
No peak broadening, texture or thermal motion is included.

Cell and atoms:
```
8
Lattice="3.2535 0.0000 0.0000 0.0000 3.2535 0.0000 0.0000 0.0000 13.0629" Properties=species:S:1:pos:R:3 pbc="T T T"
Hf 0.0000 0.0000 1.6340
Hf 0.0000 0.0000 4.8889
Hf 0.0000 0.0000 8.1740
Hf 0.0000 0.0000 11.4289
Tc 1.6267 1.6267 3.2545
Tc 1.6267 1.6267 6.5314
Tc 1.6267 1.6267 9.8084
Ru 1.6267 1.6267 0.0000
```

Peak list (6 most intense, 10 to 90 degrees two-theta, by angle)
two_theta  I (rel.)
27.41  59
39.11  1000
56.58  114
70.76  116
70.91  230
83.97  74

This entry pairs a crystal structure of Na4HgSb with its theoretical powder diffraction line list. Radiation: Cu Kα. Structure: the PBE geometry in Alexandria.
No peak broadening, texture or thermal motion is included.

Cell and atoms:
```
12
Lattice="5.7546 0.0000 0.0000 0.0000 9.9927 0.0000 0.0000 0.0000 5.8391" Properties=species:S:1:pos:R:3 pbc="T T T"
Na 0.0000 1.5383 0.0000
Na 0.0000 3.3901 2.9196
Na 0.0000 6.6026 2.9196
Na 0.0000 8.4545 0.0000
Na 2.8773 1.6062 2.9196
Na 2.8773 3.4581 0.0000
Na 2.8773 6.5346 0.0000
Na 2.8773 8.3865 2.9196
Hg 0.0000 4.9964 0.0000
Hg 2.8773 0.0000 0.0000
Sb 0.0000 0.0000 2.9196
Sb 2.8773 4.9964 2.9196
```

Peak list (6 most intense, 10 to 90 degrees two-theta, by angle)
two_theta  I (rel.)
17.76  580
23.46  1000
30.62  308
31.08  316
34.70  892
36.00  255

This entry pairs a crystal structure of Y4CdAu3 with its theoretical powder diffraction line list. Radiation: Cu Kα. Structure: the PBE geometry in Alexandria.
No peak broadening, texture or thermal motion is included.

Cell and atoms:
```
8
Lattice="3.6428 0.0000 0.0000 0.0000 5.1428 0.0000 0.0000 0.0000 10.3041" Properties=species:S:1:pos:R:3 pbc="T T T"
Y 0.0000 0.0000 0.0000
Y 0.0000 0.0000 5.1521
Y 0.0000 2.5714 2.4802
Y 0.0000 2.5714 7.8239
Cd 1.8214 2.5714 5.1521
Au 1.8214 0.0000 2.6725
Au 1.8214 0.0000 7.6316
Au 1.8214 2.5714 0.0000
```

Peak list (6 most intense, 10 to 90 degrees two-theta, by angle)
two_theta  I (rel.)
24.45  122
34.85  1000
50.11  176
62.49  357
73.56  90
84.06  129

This entry pairs a crystal structure of Ca3Pb5Cl16 with its theoretical powder diffraction line list. Radiation: Cu Kα. Structure: the PBE geometry in Alexandria.
No peak broadening, texture or thermal motion is included.

Cell and atoms:
```
24
Lattice="7.4108 -4.2277 0.0000 7.4108 4.2277 0.0000 -0.1691 0.0000 13.0995" Properties=species:S:1:pos:R:3 pbc="T T T"
Ca 0.0000 0.0000 0.0000
Ca 6.0897 2.1082 6.5004
Ca 6.0897 -2.1082 6.5004
Pb 2.3648 0.0000 3.5737
Pb 7.2193 0.0000 10.0355
Pb 10.9345 2.1158 13.0753
Pb 9.7887 0.0000 6.5287
Pb 10.9345 -2.1158 13.0753
Cl 3.7505 2.1464 5.0333
Cl 2.1525 0.0000 11.5842
Cl 6.0491 2.2036 11.6344
Cl 8.6837 2.3666 1.6276
Cl 4.6388 0.0000 1.7494
Cl 8.2933 1.9338 8.1726
Cl 5.1031 0.0000 8.0601
Cl 7.2292 0.0000 5.0787
Cl 3.7505 -2.1464 5.0333
Cl 9.7747 0.0000 11.4454
Cl 6.0491 -2.2036 11.6344
Cl 8.2933 -1.9338 8.1726
Cl 12.3619 0.0000 7.9051
Cl 12.4617 0.0000 1.4575
Cl 8.6837 -2.3666 1.6276
Cl 14.6480 0.0000 5.1192
```

Peak list (6 most intense, 10 to 90 degrees two-theta, by angle)
two_theta  I (rel.)
13.82  1000
18.20  236
25.06  438
25.18  256
31.93  284
42.38  339

This entry pairs a crystal structure of Sm2Tm12Sc5 with its theoretical powder diffraction line list. Radiation: Cu Kα. Structure: the PBE geometry in Alexandria.
No peak broadening, texture or thermal motion is included.

Cell and atoms:
```
19
Lattice="7.6163 -4.4896 0.0000 7.6163 4.4896 0.0000 -0.0724 0.0000 8.2524" Properties=species:S:1:pos:R:3 pbc="T T T"
Sm 7.6163 2.8130 0.0000
Sm 7.6163 -2.8130 0.0000
Tm 0.9342 0.0000 2.6428
Tm 5.7212 2.7560 2.9539
Tm 5.0700 1.6423 6.2559
Tm 9.4389 2.7560 5.2984
Tm 6.0701 0.0000 0.9992
Tm 10.0900 1.6423 1.9965
Tm 5.0700 -1.6423 6.2559
Tm 9.0899 0.0000 7.2531
Tm 5.7212 -2.7560 2.9539
Tm 10.0900 -1.6423 1.9965
Tm 9.4389 -2.7560 5.2984
Tm 14.2258 0.0000 5.6096
Sc 2.9376 0.0000 0.0276
Sc 4.0347 0.0000 3.5076
Sc 7.5800 0.0000 4.1262
Sc 11.1253 0.0000 4.7448
Sc 12.2224 0.0000 8.2248
```

Peak list (6 most intense, 10 to 90 degrees two-theta, by angle)
two_theta  I (rel.)
31.64  785
32.36  762
32.78  1000
34.56  403
34.77  329
36.55  411

This entry pairs a crystal structure of Be2P with its theoretical powder diffraction line list. Radiation: Cu Kα. Structure: the PBE geometry in Alexandria.
No peak broadening, texture or thermal motion is included.

Cell and atoms:
```
6
Lattice="2.0428 1.1794 5.2459 -2.0428 1.1794 5.2459 0.0000 -2.3589 5.2459" Properties=species:S:1:pos:R:3 pbc="T T T"
Be 0.0000 0.0000 0.0000
Be 0.0000 -1.1864 7.2525
Be -1.0275 0.5932 7.2525
Be 1.0275 0.5932 7.2525
P 0.0000 0.0000 5.4554
P 0.0000 0.0000 13.5120
```

Peak list (6 most intense, 10 to 90 degrees two-theta, by angle)
two_theta  I (rel.)
27.64  1000
34.08  531
44.34  293
53.06  237
53.28  198
57.13  456